(1)
This entry pairs a crystal structure of Pm7Pr5 with its calculated powder diffractogram. Radiation: CuKα. Structure: DFT lattice parameters and positions (PBE).
Kinematic intensities with the Lorentz-polarization factor, no thermal factor.

Top 10 peaks for 2θ from 10° to 90°, in order of falling intensity:
| two_theta | d_spacing | I/Imax |
| --- | --- | --- |
| 31.75 | 2.818 | 100 |
| 28.90 | 3.090 | 43 |
| 30.02 | 2.976 | 34 |
| 49.33 | 1.847 | 26 |
| 36.06 | 2.491 | 24 |
| 54.41 | 1.686 | 22 |
| 58.83 | 1.570 | 20 |
| 59.87 | 1.545 | 16 |
| 81.16 | 1.185 | 14 |
| 83.40 | 1.159 | 11 |

Cell and atoms:
Lattice parameters (Å, degrees): 9.775 9.775 13.517 117.72 117.72 21.79
Atoms (fractional coordinates):
1 Pm 0.000 0.000 0.000
2 Pm 0.139 0.139 0.749
3 Pm 0.166 0.166 0.499
4 Pm 0.473 0.473 0.750
5 Pm 0.527 0.527 0.250
6 Pm 0.834 0.834 0.501
7 Pm 0.861 0.861 0.251
8 Pr 0.194 0.194 0.251
9 Pr 0.334 0.334 0.002
10 Pr 0.500 0.500 0.500
11 Pr 0.666 0.666 0.998
12 Pr 0.806 0.806 0.749

***

(2)
This entry pairs a crystal structure of Pm7Pr3 with its calculated powder diffractogram. Radiation: CuKα. Structure: DFT lattice parameters and positions (PBE).
Kinematic intensities with the Lorentz-polarization factor, no thermal factor.

Top 10 peaks for 2θ from 10° to 90°, in order of falling intensity:
| two_theta | d_spacing | I/Imax |
| --- | --- | --- |
| 29.83 | 2.995 | 100 |
| 34.56 | 2.595 | 34 |
| 59.01 | 1.565 | 22 |
| 59.12 | 1.563 | 22 |
| 49.68 | 1.835 | 18 |
| 49.75 | 1.833 | 18 |
| 34.63 | 2.590 | 17 |
| 61.97 | 1.497 | 12 |
| 80.80 | 1.189 | 12 |
| 83.39 | 1.159 | 10 |

Cell and atoms:
Lattice parameters (Å, degrees): 9.721 9.721 7.334 100.99 100.99 30.91
Atoms (fractional coordinates):
1 Pm 0.000 0.000 0.000
2 Pm 0.200 0.200 0.600
3 Pm 0.400 0.400 0.200
4 Pm 0.400 0.400 0.700
5 Pm 0.600 0.600 0.300
6 Pm 0.600 0.600 0.800
7 Pm 0.800 0.800 0.400
8 Pr 0.000 0.000 0.500
9 Pr 0.200 0.200 0.100
10 Pr 0.800 0.800 0.900

***

(3)
This entry pairs a crystal structure of Pm3Pr5 with its calculated powder diffractogram. Radiation: CuKα. Structure: DFT lattice parameters and positions (PBE).
Kinematic intensities with the Lorentz-polarization factor, no thermal factor.

Top 8 peaks for 2θ from 10° to 90°, in order of falling intensity:
| two_theta | d_spacing | I/Imax |
| --- | --- | --- |
| 29.66 | 3.012 | 100 |
| 34.39 | 2.608 | 51 |
| 58.71 | 1.573 | 43 |
| 49.42 | 1.844 | 36 |
| 80.22 | 1.197 | 18 |
| 82.75 | 1.166 | 16 |
| 61.59 | 1.506 | 13 |
| 72.48 | 1.304 | 6 |

Cell and atoms:
Lattice parameters (Å, degrees): 5.213 5.217 10.436 90.00 90.00 90.00
Atoms (fractional coordinates):
1 Pm 0.000 0.000 0.000
2 Pm 0.000 0.500 0.249
3 Pm 0.000 0.500 0.751
4 Pr 0.000 0.000 0.500
5 Pr 0.500 0.000 0.249
6 Pr 0.500 0.000 0.751
7 Pr 0.500 0.500 0.000
8 Pr 0.500 0.500 0.500

***

(4)
This entry pairs a crystal structure of Pm5Pr3 with its calculated powder diffractogram. Radiation: CuKα. Structure: DFT lattice parameters and positions (PBE).
Kinematic intensities with the Lorentz-polarization factor, no thermal factor.

Top 10 peaks for 2θ from 10° to 90°, in order of falling intensity:
| two_theta | d_spacing | I/Imax |
| --- | --- | --- |
| 29.76 | 3.002 | 100 |
| 34.50 | 2.600 | 51 |
| 58.90 | 1.568 | 43 |
| 49.58 | 1.839 | 36 |
| 80.51 | 1.193 | 18 |
| 61.80 | 1.501 | 12 |
| 83.01 | 1.163 | 11 |
| 83.16 | 1.162 | 5 |
| 72.68 | 1.301 | 4 |
| 72.86 | 1.298 | 2 |

Cell and atoms:
Lattice parameters (Å, degrees): 3.680 3.680 20.771 90.00 90.00 90.00
Atoms (fractional coordinates):
1 Pm 0.000 0.000 0.000
2 Pm 0.000 0.000 0.251
3 Pm 0.000 0.000 0.749
4 Pm 0.500 0.500 0.375
5 Pm 0.500 0.500 0.625
6 Pr 0.000 0.000 0.500
7 Pr 0.500 0.500 0.126
8 Pr 0.500 0.500 0.874

***

(5)
This entry pairs a crystal structure of Pm2Pr13 with its calculated powder diffractogram. Radiation: CuKα. Structure: DFT lattice parameters and positions (PBE).
Kinematic intensities with the Lorentz-polarization factor, no thermal factor.

Top 10 peaks for 2θ from 10° to 90°, in order of falling intensity:
| two_theta | d_spacing | I/Imax |
| --- | --- | --- |
| 30.38 | 2.942 | 100 |
| 30.52 | 2.929 | 88 |
| 54.04 | 1.697 | 36 |
| 43.60 | 2.076 | 33 |
| 60.55 | 1.529 | 28 |
| 53.96 | 1.699 | 13 |
| 39.65 | 2.273 | 11 |
| 77.43 | 1.233 | 9 |
| 85.40 | 1.137 | 9 |
| 71.76 | 1.315 | 9 |

Cell and atoms:
Lattice parameters (Å, degrees): 6.879 9.271 9.272 66.77 82.49 82.52
Atoms (fractional coordinates):
1 Pm 0.100 0.432 0.267
2 Pm 0.900 0.568 0.733
3 Pr 0.000 0.000 0.500
4 Pr 0.100 0.766 0.934
5 Pr 0.198 0.203 0.698
6 Pr 0.299 0.969 0.132
7 Pr 0.301 0.635 0.466
8 Pr 0.399 0.402 0.899
9 Pr 0.500 0.167 0.333
10 Pr 0.500 0.833 0.667
11 Pr 0.601 0.598 0.101
12 Pr 0.699 0.365 0.534
13 Pr 0.701 0.031 0.868
14 Pr 0.802 0.797 0.302
15 Pr 0.900 0.234 0.066

***

(6)
This entry pairs a crystal structure of Pm2Pr5 with its calculated powder diffractogram. Radiation: CuKα. Structure: DFT lattice parameters and positions (PBE).
Kinematic intensities with the Lorentz-polarization factor, no thermal factor.

Top 10 peaks for 2θ from 10° to 90°, in order of falling intensity:
| two_theta | d_spacing | I/Imax |
| --- | --- | --- |
| 30.49 | 2.932 | 100 |
| 54.18 | 1.693 | 34 |
| 43.65 | 2.073 | 17 |
| 88.14 | 1.108 | 14 |
| 72.01 | 1.311 | 12 |
| 63.44 | 1.466 | 10 |
| 33.54 | 2.672 | 4 |
| 64.01 | 1.455 | 4 |
| 80.17 | 1.197 | 3 |
| 37.43 | 2.402 | 3 |

Cell and atoms:
Lattice parameters (Å, degrees): 9.035 9.035 9.035 37.88 37.88 37.88
Atoms (fractional coordinates):
1 Pm 0.156 0.156 0.156
2 Pm 0.844 0.844 0.844
3 Pr 0.000 0.000 0.000
4 Pr 0.295 0.295 0.295
5 Pr 0.432 0.432 0.432
6 Pr 0.568 0.568 0.568
7 Pr 0.705 0.705 0.705

***

(7)
This entry pairs a crystal structure of Pm13Pr3 with its calculated powder diffractogram. Radiation: CuKα. Structure: DFT lattice parameters and positions (PBE).
Kinematic intensities with the Lorentz-polarization factor, no thermal factor.

Top 8 peaks for 2θ from 10° to 90°, in order of falling intensity:
| two_theta | d_spacing | I/Imax |
| --- | --- | --- |
| 29.88 | 2.990 | 100 |
| 34.64 | 2.589 | 51 |
| 59.17 | 1.561 | 43 |
| 49.80 | 1.831 | 36 |
| 80.92 | 1.188 | 18 |
| 83.48 | 1.158 | 16 |
| 62.09 | 1.495 | 12 |
| 73.09 | 1.295 | 6 |

Cell and atoms:
Lattice parameters (Å, degrees): 10.353 7.325 7.325 89.99 90.00 90.00
Atoms (fractional coordinates):
1 Pm 0.000 0.000 0.000
2 Pm 0.000 0.000 0.502
3 Pm 0.000 0.501 0.501
4 Pm 0.000 0.502 0.000
5 Pm 0.249 0.251 0.750
6 Pm 0.249 0.750 0.251
7 Pm 0.249 0.750 0.750
8 Pm 0.500 0.000 0.501
9 Pm 0.500 0.501 0.000
10 Pm 0.500 0.502 0.502
11 Pm 0.751 0.251 0.750
12 Pm 0.751 0.750 0.251
13 Pm 0.751 0.750 0.750
14 Pr 0.250 0.251 0.251
15 Pr 0.500 0.999 0.999
16 Pr 0.750 0.251 0.251

***

(8)
This entry pairs a crystal structure of Pm2Pr with its calculated powder diffractogram. Radiation: CuKα. Structure: DFT lattice parameters and positions (PBE).
Kinematic intensities with the Lorentz-polarization factor, no thermal factor.

Top 10 peaks for 2θ from 10° to 90°, in order of falling intensity:
| two_theta | d_spacing | I/Imax |
| --- | --- | --- |
| 30.96 | 2.888 | 100 |
| 32.60 | 2.747 | 88 |
| 30.18 | 2.961 | 51 |
| 58.84 | 1.569 | 46 |
| 49.24 | 1.851 | 39 |
| 28.04 | 3.182 | 36 |
| 53.02 | 1.727 | 22 |
| 56.20 | 1.637 | 19 |
| 83.64 | 1.156 | 17 |
| 28.64 | 3.116 | 16 |

Cell and atoms:
Lattice parameters (Å, degrees): 3.701 3.701 26.650 90.00 90.00 120.00
Atoms (fractional coordinates):
1 Pm 0.000 0.000 0.222
2 Pm 0.000 0.000 0.778
3 Pm 0.333 0.667 0.445
4 Pm 0.333 0.667 0.889
5 Pm 0.667 0.333 0.111
6 Pm 0.667 0.333 0.555
7 Pr 0.000 0.000 0.000
8 Pr 0.333 0.667 0.667
9 Pr 0.667 0.333 0.333

***

(9)
This entry pairs a crystal structure of Pm3Pr5 with its calculated powder diffractogram. Radiation: CuKα. Structure: DFT lattice parameters and positions (PBE).
Kinematic intensities with the Lorentz-polarization factor, no thermal factor.

Top 10 peaks for 2θ from 10° to 90°, in order of falling intensity:
| two_theta | d_spacing | I/Imax |
| --- | --- | --- |
| 29.65 | 3.013 | 100 |
| 34.37 | 2.609 | 51 |
| 49.40 | 1.845 | 36 |
| 58.72 | 1.572 | 29 |
| 58.61 | 1.575 | 15 |
| 61.57 | 1.506 | 13 |
| 80.15 | 1.197 | 12 |
| 82.77 | 1.166 | 11 |
| 80.25 | 1.196 | 6 |
| 82.60 | 1.168 | 5 |

Cell and atoms:
Lattice parameters (Å, degrees): 10.424 10.430 5.226 90.00 90.00 90.00
Atoms (fractional coordinates):
1 Pm 0.000 0.000 0.000
2 Pm 0.000 0.249 0.500
3 Pm 0.000 0.751 0.500
4 Pm 0.500 0.251 0.500
5 Pm 0.500 0.500 0.000
6 Pm 0.500 0.749 0.500
7 Pr 0.000 0.500 0.000
8 Pr 0.249 0.000 0.500
9 Pr 0.250 0.250 0.000
10 Pr 0.250 0.750 0.000
11 Pr 0.251 0.500 0.500
12 Pr 0.500 0.000 0.000
13 Pr 0.749 0.500 0.500
14 Pr 0.750 0.250 0.000
15 Pr 0.750 0.750 0.000
16 Pr 0.751 0.000 0.500

***

(10)
This entry pairs a crystal structure of Pm4Pr5 with its calculated powder diffractogram. Radiation: CuKα. Structure: DFT lattice parameters and positions (PBE).
Kinematic intensities with the Lorentz-polarization factor, no thermal factor.

Top 8 peaks for 2θ from 10° to 90°, in order of falling intensity:
| two_theta | d_spacing | I/Imax |
| --- | --- | --- |
| 29.67 | 3.011 | 100 |
| 34.39 | 2.608 | 51 |
| 58.72 | 1.572 | 43 |
| 49.43 | 1.844 | 36 |
| 80.23 | 1.196 | 18 |
| 82.76 | 1.166 | 16 |
| 61.60 | 1.506 | 13 |
| 72.50 | 1.304 | 6 |

Cell and atoms:
Lattice parameters (Å, degrees): 8.247 8.247 8.247 143.15 95.78 95.69
Atoms (fractional coordinates):
1 Pm 0.000 0.167 0.833
2 Pm 0.000 0.833 0.167
3 Pm 0.333 0.167 0.167
4 Pm 0.667 0.833 0.833
5 Pr 0.000 0.500 0.500
6 Pr 0.332 0.500 0.832
7 Pr 0.332 0.832 0.500
8 Pr 0.668 0.168 0.500
9 Pr 0.668 0.500 0.168

***

(11)
This entry pairs a crystal structure of PmPr6 with its calculated powder diffractogram. Radiation: CuKα. Structure: DFT lattice parameters and positions (PBE).
Kinematic intensities with the Lorentz-polarization factor, no thermal factor.

Top 10 peaks for 2θ from 10° to 90°, in order of falling intensity:
| two_theta | d_spacing | I/Imax |
| --- | --- | --- |
| 30.53 | 2.928 | 100 |
| 30.17 | 2.962 | 96 |
| 54.04 | 1.697 | 33 |
| 43.46 | 2.082 | 32 |
| 54.26 | 1.691 | 18 |
| 53.37 | 1.717 | 14 |
| 71.94 | 1.312 | 12 |
| 63.55 | 1.464 | 10 |
| 71.38 | 1.322 | 9 |
| 88.13 | 1.108 | 8 |

Cell and atoms:
Lattice parameters (Å, degrees): 9.028 9.028 9.028 118.21 118.21 118.21
Atoms (fractional coordinates):
1 Pm 0.000 0.000 0.000
2 Pr 0.076 0.236 0.502
3 Pr 0.236 0.502 0.076
4 Pr 0.498 0.924 0.764
5 Pr 0.502 0.076 0.236
6 Pr 0.764 0.498 0.924
7 Pr 0.924 0.764 0.498

***

(12)
This entry pairs a crystal structure of Pm7Pr3 with its calculated powder diffractogram. Radiation: CuKα. Structure: DFT lattice parameters and positions (PBE).
Kinematic intensities with the Lorentz-polarization factor, no thermal factor.

Top 10 peaks for 2θ from 10° to 90°, in order of falling intensity:
| two_theta | d_spacing | I/Imax |
| --- | --- | --- |
| 30.99 | 2.886 | 100 |
| 33.18 | 2.700 | 32 |
| 28.02 | 3.184 | 29 |
| 32.10 | 2.788 | 20 |
| 49.01 | 1.859 | 19 |
| 27.39 | 3.257 | 19 |
| 27.71 | 3.219 | 16 |
| 39.35 | 2.289 | 15 |
| 59.62 | 1.551 | 13 |
| 57.05 | 1.614 | 13 |

Cell and atoms:
Lattice parameters (Å, degrees): 11.152 11.152 6.513 90.00 90.00 120.00
Atoms (fractional coordinates):
1 Pm 0.058 0.529 0.000
2 Pm 0.117 0.234 0.852
3 Pm 0.117 0.883 0.852
4 Pm 0.234 0.117 0.352
5 Pm 0.333 0.667 0.744
6 Pm 0.471 0.529 0.000
7 Pm 0.471 0.942 0.000
8 Pm 0.529 0.058 0.500
9 Pm 0.529 0.471 0.500
10 Pm 0.667 0.333 0.244
11 Pm 0.766 0.883 0.852
12 Pm 0.883 0.117 0.352
13 Pm 0.883 0.766 0.352
14 Pm 0.942 0.471 0.500
15 Pr 0.210 0.419 0.370
16 Pr 0.210 0.790 0.370
17 Pr 0.419 0.210 0.870
18 Pr 0.581 0.790 0.370
19 Pr 0.790 0.210 0.870
20 Pr 0.790 0.581 0.870